# PrZr3F15
Theoretical powder diffraction line list, Cu Kα (λ = 1.5418 Å). Input: a structure optimized by DFT (GGA-PBE).

Top 10 peaks for 10° ≤ 2θ ≤ 90°, sorted by position:
Position (°2θ), d (Å), intensity, index
21.7, 4.092, 100, 0 2 1
24.6, 3.612, 11, 3 0 0
26.0, 3.425, 37, 2 1 1
28.5, 3.128, 27, 2 2 0
41.7, 2.165, 12, 3 1 2
44.2, 2.047, 28, 0 5 1
46.7, 1.945, 42, 2 3 2
50.6, 1.804, 13, 3 0 3
53.5, 1.713, 13, 4 3 1
59.1, 1.563, 13, 4 4 0

Structural model:
```
data_PrZr3F15
_cell_length_a 12.5137
_cell_length_b 12.5137
_cell_length_c 6.2439
_cell_angle_alpha 90.00
_cell_angle_beta 90.00
_cell_angle_gamma 120.00
_space_group_name_H-M_alt 'R 3 m'
_space_group_IT_number 160
_space_group_name_Hall 'R 3 -2"'
loop_
_atom_site_label
_atom_site_type_symbol
_atom_site_fract_x
_atom_site_fract_y
_atom_site_fract_z
_atom_site_occupancy
Pr1 Pr 0.0000 0.0000 0.0000 1
Zr1 Zr 0.0462 0.5231 0.1620 1
F1 F 0.0745 0.1490 0.2812 1
F2 F 0.0785 0.1570 0.7342 1
F3 F 0.0805 0.3754 0.2718 1
F4 F 0.2201 0.4403 0.6767 1
```